# Rb2Mo2PbO7
Simulated powder diffraction line list, Cu Ka. Input: a cell relaxed with GGA+U.

Atomic structure:
abc: 6.5234 6.5234 24.0409
angles: 90.00 90.00 120.00
Space group R32 (No. 155, hexagonal axes)
Asymmetric unit:
Rb (0.0000, 0.0000, 0.2320) [6 per cell]
Mo (0.0000, 0.0000, 0.0794) [6 per cell]
Pb (0.0000, 0.0000, 0.5000) [3 per cell]
O (0.0000, 0.0000, 0.0000) [3 per cell]
O (0.0307, 0.4701, 0.7722) [18 per cell]

Peak list (10 most intense, 2θ = 10–90°, in order of rising 2θ)
d/Å  Rel. int.  index
8.014  62  0 0 3
5.113  33  0 1 2
4.116  38  1 0 4
3.662  34  0 1 5
3.262  100  1 1 0
3.021  24  1 1 3
2.935  55  1 0 7
2.556  23  0 2 4
2.182  33  0 2 7
1.813  26  2 1 7